Structure and calculated powder XRD pattern of VSiO4 (a cell relaxed with PBE+U; CuKα).
Peak positions follow from Bragg's law for the DFT cell and can differ from measured ones.

Main lines, sorted by position (10° ≤ 2θ ≤ 90°):
hkl	2θ/deg	d (Å)	Rel. int.
1 0 1	20.27	4.380	100.0
1 1 2	32.87	2.725	29.2
2 0 0	34.45	2.603	5.3
2 1 1	40.30	2.238	8.4
2 0 2	41.22	2.190	4.6
1 2 3	51.84	1.764	14.1
2 0 4	57.66	1.599	6.3
1 3 2	60.72	1.525	7.1
3 2 1	65.67	1.422	4.2
2 1 5	70.85	1.330	4.4

Structural model:
```
data_VSiO4
_cell_length_a 5.2069
_cell_length_b 5.2069
_cell_length_c 8.1022
_cell_angle_alpha 90.00
_cell_angle_beta 90.00
_cell_angle_gamma 90.00
_symmetry_space_group_name_H-M 'I -4'
_symmetry_Int_Tables_number 82
_symmetry_space_group_name_Hall 'I -4'
loop_
_atom_site_label
_atom_site_type_symbol
_atom_site_fract_x
_atom_site_fract_y
_atom_site_fract_z
_atom_site_occupancy
V1 V 0.0000 0.0000 0.0000 1
Si1 Si 0.0000 0.5000 0.7500 1
O1 O 0.0972 0.7395 0.8654 1
```